# 1
Structure and simulated powder X-ray diffraction pattern of Na10ReSn12 (a structure optimized by DFT (PBE); Cu Kα X-rays).
Neutral-atom scattering factors, no anomalous dispersion.

Crystal structure
a = 9.5831 Å, b = 9.5831 Å, c = 9.5831 Å
α = 109.47°, β = 109.47°, γ = 109.47°
Sites, in units of the cell vectors:
Na 0.0000 0.0000 0.3800
Na 0.0000 0.3800 0.0000
Na 0.2500 0.5000 0.7500
Na 0.2500 0.7500 0.5000
Na 0.3800 0.0000 0.0000
Na 0.5000 0.2500 0.7500
Na 0.5000 0.7500 0.2500
Na 0.6200 0.6200 0.6200
Na 0.7500 0.2500 0.5000
Na 0.7500 0.5000 0.2500
Re 0.0000 0.0000 0.0000
Sn 0.0000 0.6332 0.8141
Sn 0.0000 0.8141 0.6332
Sn 0.1810 0.3668 0.3668
Sn 0.1859 0.1859 0.8190
Sn 0.1859 0.8190 0.1859
Sn 0.3668 0.1810 0.3668
Sn 0.3668 0.3668 0.1810
Sn 0.6332 0.0000 0.8141
Sn 0.6332 0.8141 0.0000
Sn 0.8141 0.0000 0.6332
Sn 0.8141 0.6332 0.0000
Sn 0.8190 0.1859 0.1859

Main lines, low angle first (2θ from 15° to 90°):
d [Å]  two_theta  I_rel
4.518  19.7  92
2.957  30.2  76
2.608  34.4  85
2.474  36.3  39
2.359  38.1  100
2.020  44.9  44
1.565  59.0  41
1.506  61.6  40



# 2
Structure and simulated powder X-ray diffraction pattern of Rb2PdCl2F2 (a structure optimized by DFT (PBE); Cu Kα X-rays).
Neutral-atom scattering factors, no anomalous dispersion.

Crystal structure
a = 3.8771 Å, b = 6.6698 Å, c = 6.6942 Å
α = 90.00°, β = 90.00°, γ = 90.00°
Sites, in units of the cell vectors:
Rb 0.0000 0.0000 0.0000
Rb 0.0000 0.5000 0.3742
Pd 0.5000 0.0000 0.4553
Cl 0.5000 0.2458 0.6913
Cl 0.5000 0.7542 0.6913
F 0.5000 0.2137 0.2355
F 0.5000 0.7863 0.2355

Main lines, low angle first (2θ from 15° to 90°):
d [Å]  two_theta  I_rel
3.353  26.6  37
2.996  29.8  100
2.530  35.5  15
2.367  38.0  19
2.362  38.1  32
1.853  49.2  25
1.673  54.9  21
1.498  61.9  17



# 3
Structure and simulated powder X-ray diffraction pattern of TbZn (a structure optimized by DFT (PBE); Cu Kα X-rays).
Neutral-atom scattering factors, no anomalous dispersion.

Crystal structure
a = 4.4312 Å, b = 10.9383 Å, c = 5.8282 Å
α = 90.00°, β = 90.00°, γ = 90.00°
Sites, in units of the cell vectors:
Tb 0.0000 0.0911 0.0000
Tb 0.0000 0.3979 0.7730
Tb 0.0000 0.6021 0.2730
Tb 0.0000 0.9089 0.5000
Tb 0.5000 0.1599 0.5165
Tb 0.5000 0.8401 0.0165
Zn 0.0000 0.3138 0.2926
Zn 0.0000 0.6862 0.7926
Zn 0.5000 0.2920 0.0344
Zn 0.5000 0.4370 0.4114
Zn 0.5000 0.5630 0.9114
Zn 0.5000 0.7080 0.5344

Main lines, low angle first (2θ from 15° to 90°):
d [Å]  two_theta  I_rel
3.357  26.6  45
2.964  30.1  100
2.816  31.8  76
2.535  35.4  92
2.476  36.3  42
2.435  36.9  31
2.377  37.9  34
2.216  40.7  55



# 4
Structure and simulated powder X-ray diffraction pattern of Ho3Mg4 (a structure optimized by DFT (PBE); Cu Kα X-rays).
Neutral-atom scattering factors, no anomalous dispersion.

Crystal structure
a = 9.0314 Å, b = 9.0314 Å, c = 5.3043 Å
α = 90.00°, β = 90.00°, γ = 120.00°
Sites, in units of the cell vectors:
Ho 0.0986 0.6314 0.2500
Ho 0.3686 0.4672 0.2500
Ho 0.4672 0.0986 0.7500
Ho 0.5328 0.9014 0.2500
Ho 0.6314 0.5328 0.7500
Ho 0.9014 0.3686 0.7500
Mg 0.0475 0.8137 0.7500
Mg 0.1863 0.2338 0.7500
Mg 0.2338 0.0475 0.2500
Mg 0.3333 0.6667 0.7500
Mg 0.6667 0.3333 0.2500
Mg 0.7662 0.9525 0.7500
Mg 0.8137 0.7662 0.2500
Mg 0.9525 0.1863 0.2500

Main lines, low angle first (2θ from 15° to 90°):
d [Å]  two_theta  I_rel
4.390  20.2  35
3.438  25.9  34
2.956  30.2  41
2.652  33.8  24
2.582  34.7  100
1.974  46.0  26
1.517  61.1  19
1.435  65.0  21



# 5
Structure and simulated powder X-ray diffraction pattern of GdAgMo (a structure optimized by DFT (PBE); Cu Kα X-rays).
Neutral-atom scattering factors, no anomalous dispersion.

Crystal structure
a = 4.7124 Å, b = 4.7124 Å, c = 4.7124 Å
α = 60.00°, β = 60.00°, γ = 60.00°
Sites, in units of the cell vectors:
Gd 0.0000 0.0000 0.0000
Ag 0.5000 0.5000 0.5000
Mo 0.7500 0.7500 0.7500

Main lines, low angle first (2θ from 15° to 90°):
d [Å]  two_theta  I_rel
3.848  23.1  21
3.332  26.8  28
2.356  38.2  100
2.009  45.1  11
1.666  55.1  17
1.490  62.3  10
1.360  69.0  34
1.178  81.7  11



# 6
Structure and simulated powder X-ray diffraction pattern of Be4GaCo (a structure optimized by DFT (PBE); Cu Kα X-rays).
Neutral-atom scattering factors, no anomalous dispersion.

Crystal structure
a = 4.2283 Å, b = 4.2283 Å, c = 4.2283 Å
α = 60.00°, β = 60.00°, γ = 60.00°
Sites, in units of the cell vectors:
Be 0.3761 0.3761 0.3761
Be 0.3761 0.3761 0.8718
Be 0.3761 0.8718 0.3761
Be 0.8718 0.3761 0.3761
Ga 0.0000 0.0000 0.0000
Co 0.7500 0.7500 0.7500

Main lines, low angle first (2θ from 15° to 90°):
d [Å]  two_theta  I_rel
3.452  25.8  98
2.114  42.8  100
1.803  50.6  75
1.726  53.1  1
1.495  62.1  11
1.372  68.4  18
1.221  78.3  30
1.151  84.1  22